Record 1
Starting from a crystal structure in Alexandria, relaxed with PBE, the powder diffraction line list of Sm4Th3S8 was computed for Cu Kα, 1.54184 Å.
No peak broadening, texture or thermal motion is included.

The 10 most intense peaks (10° ≤ 2θ ≤ 90°), by angle:
15.63 deg, I = 14, (2 0 -1)
27.23 deg, I = 80, (2 2 0)
31.54 deg, I = 100, (0 4 0)
45.21 deg, I = 73, (4 0 0)
53.55 deg, I = 27, (2 6 0)
53.63 deg, I = 14, (6 2 -2)
56.17 deg, I = 26, (4 4 0)
72.64 deg, I = 14, (6 2 0)
74.79 deg, I = 17, (4 0 2)
74.91 deg, I = 16, (8 4 -4)

Structure:
abc: 11.332 11.347 8.019
angles: 90.00 134.90 90.00
Space group C2/m (No. 12)
Inequivalent atoms, fractional coordinates:
Sm 0.000 0.000 0.000 [2 per cell]
Sm 0.000 0.000 0.500 [2 per cell]
Sm 0.250 0.250 0.000 [4 per cell]
Th 0.000 0.500 0.000 [2 per cell]
Th 0.250 0.250 0.500 [4 per cell]
S 0.000 0.248 0.000 [4 per cell]
S 0.000 0.252 0.500 [4 per cell]
S 0.248 0.500 0.502 [4 per cell]
S 0.249 0.500 0.998 [4 per cell]

Record 2
Starting from a crystal structure in Alexandria, relaxed with PBE, the powder diffraction line list of SmThS4 was computed for Cu Kα, 1.54184 Å.
No peak broadening, texture or thermal motion is included.

The 10 most intense peaks (10° ≤ 2θ ≤ 90°), by angle:
22.23 deg, I = 100, (1 1 -1)
22.91 deg, I = 91, (1 1 1)
25.84 deg, I = 39, (0 0 2)
26.17 deg, I = 38, (0 2 0)
26.35 deg, I = 39, (2 0 0)
37.11 deg, I = 35, (0 2 2)
37.47 deg, I = 34, (2 2 0)
43.10 deg, I = 26, (1 1 -3)
44.24 deg, I = 57, (1 3 1)
44.86 deg, I = 26, (3 1 1)

Structure:
abc: 6.772 6.811 6.902
angles: 90.00 92.55 90.00
Space group P2_1/c (No. 14)
Inequivalent atoms, fractional coordinates:
Sm 0.000 0.000 0.000 [2 per cell]
Th 0.500 0.000 0.500 [2 per cell]
S 0.123 0.123 0.622 [4 per cell]
S 0.360 0.648 0.652 [4 per cell]

Record 3
Starting from a crystal structure in Alexandria, relaxed with PBE, the powder diffraction line list of Sm3Th2S8 was computed for Cu Kα, 1.54184 Å.
No peak broadening, texture or thermal motion is included.

The 10 most intense peaks (10° ≤ 2θ ≤ 90°), by angle:
22.42 deg, I = 47, (2 2 0)
22.95 deg, I = 49, (0 2 1)
26.16 deg, I = 19, (0 4 0)
26.30 deg, I = 35, (2 0 1)
36.86 deg, I = 23, (4 0 0)
37.44 deg, I = 100, (2 4 1)
38.21 deg, I = 25, (0 0 2)
44.75 deg, I = 16, (2 2 2)
54.14 deg, I = 15, (4 0 2)
68.56 deg, I = 17, (2 4 3)

Structure:
abc: 9.754 13.625 4.711
angles: 90.00 90.00 90.00
Space group Cmmm (No. 65)
Inequivalent atoms, fractional coordinates:
Sm 0.000 0.000 0.000 [2 per cell]
Sm 0.217 0.500 0.500 [4 per cell]
Th 0.000 0.258 0.000 [4 per cell]
S 0.000 0.122 0.500 [4 per cell]
S 0.000 0.372 0.500 [4 per cell]
S 0.244 0.125 0.000 [8 per cell]

Record 4
Starting from a crystal structure in Alexandria, relaxed with PBE, the powder diffraction line list of SmTh2S3 was computed for Cu Kα, 1.54184 Å.
No peak broadening, texture or thermal motion is included.

The 10 most intense peaks (10° ≤ 2θ ≤ 90°), by angle:
26.94 deg, I = 49, (1 3 0)
27.24 deg, I = 47, (1 0 2)
31.38 deg, I = 100, (2 0 0)
44.60 deg, I = 13, (0 6 0)
44.97 deg, I = 49, (2 3 2)
53.05 deg, I = 16, (1 6 2)
53.57 deg, I = 16, (1 3 4)
55.54 deg, I = 13, (2 6 0)
56.20 deg, I = 13, (2 0 4)
74.41 deg, I = 22, (4 3 2)

Structure:
abc: 5.704 12.190 7.994
angles: 90.00 90.00 90.00
Space group P2_1/c (No. 14)
Inequivalent atoms, fractional coordinates:
Sm 0.250 0.083 0.126 [4 per cell]
Th 0.250 0.083 0.624 [4 per cell]
Th 0.251 0.750 0.124 [4 per cell]
S 0.249 0.249 0.875 [4 per cell]
S 0.250 0.582 0.376 [4 per cell]
S 0.250 0.583 0.872 [4 per cell]

Record 5
Starting from a crystal structure in Alexandria, relaxed with PBE, the powder diffraction line list of Sm4YTh3S8 was computed for Cu Kα, 1.54184 Å.
No peak broadening, texture or thermal motion is included.

The 10 most intense peaks (10° ≤ 2θ ≤ 90°), by angle:
27.04 deg, I = 22, (0 0 6)
27.30 deg, I = 64, (2 0 2)
31.55 deg, I = 100, (0 2 4)
45.05 deg, I = 37, (2 0 8)
45.39 deg, I = 36, (2 2 0)
53.63 deg, I = 21, (2 2 6)
56.33 deg, I = 19, (4 0 4)
74.63 deg, I = 17, (2 2 12)
75.12 deg, I = 16, (2 4 4)
83.63 deg, I = 13, (4 2 8)

Structure:
abc: 7.9926 7.9926 19.7857
angles: 90.00 90.00 120.00
Space group R-3m (No. 166, hexagonal axes)
Inequivalent atoms, fractional coordinates:
Sm 0.0000 0.0000 0.0000 [3 per cell]
Sm 0.0000 0.5000 0.0000 [9 per cell]
Y 0.0000 0.0000 0.5000 [3 per cell]
Th 0.0000 0.5000 0.5000 [9 per cell]
S 0.0000 0.0000 0.2519 [6 per cell]
S 0.0058 0.5029 0.2500 [18 per cell]

Record 6
Starting from a crystal structure in Alexandria, relaxed with PBE, the powder diffraction line list of Sm2TiS4 was computed for Cu Kα, 1.54184 Å.
No peak broadening, texture or thermal motion is included.

The 10 most intense peaks (10° ≤ 2θ ≤ 90°), by angle:
15.38 deg, I = 63, (2 0 0)
24.95 deg, I = 37, (2 0 -2)
26.10 deg, I = 64, (1 1 -1)
26.87 deg, I = 16, (4 0 -1)
30.10 deg, I = 100, (4 0 -2)
32.77 deg, I = 26, (3 1 0)
40.52 deg, I = 28, (3 1 1)
41.46 deg, I = 29, (5 1 -1)
44.65 deg, I = 37, (3 1 -3)
46.74 deg, I = 19, (0 2 0)

Structure:
abc: 13.283 3.887 7.146
angles: 90.00 119.80 90.00
Space group C2/m (No. 12)
Inequivalent atoms, fractional coordinates:
Sm 0.218 0.000 0.210 [4 per cell]
Ti 0.000 0.500 0.500 [2 per cell]
S 0.106 0.500 0.900 [4 per cell]
S 0.128 0.000 0.501 [4 per cell]